This entry pairs a crystal structure of LiSmPdAu with its computed powder diffraction line list. Radiation: Cu Kα. Structure: a structure optimized by DFT (GGA-PBE).

Structural model:
abc: 6.892 6.892 6.892
angles: 90.00 90.00 90.00
Space group F-43m (No. 216)
Symmetry-distinct sites (fractional):
Li  0.000  0.000  0.000 x4
Sm  0.000  0.000  0.500 x4
Pd  0.250  0.250  0.250 x4
Au  0.250  0.250  0.750 x4

Top 8 peaks for 2θ from 15° to 90°, low angle first:
- d 3.979, 22.3°, intensity 32, hkl 1 1 1
- d 3.446, 25.9°, intensity 14, hkl 2 0 0
- d 2.437, 36.9°, intensity 100, hkl 2 2 0
- d 2.078, 43.6°, intensity 17, hkl 3 1 1
- d 1.723, 53.2°, intensity 18, hkl 4 0 0
- d 1.581, 58.4°, intensity 7, hkl 3 3 1
- d 1.407, 66.5°, intensity 36, hkl 4 2 2
- d 1.218, 78.5°, intensity 11, hkl 4 4 0